Simulated X-ray diffraction stick pattern
Compound: GdYInCu2
Radiation: Cu Kα, 1.54184 Å
Structure: a structure optimized by DFT (GGA-PBE)
Intensities are scaled so that the largest is 1000.

Unit cell a=3.617 b=4.268 c=14.000 alpha=90.00 beta=90.00 gamma=90.00
Space group Amm2 (No. 38)
Symmetry-distinct sites (fractional):
Gd 0.000 0.000 0.000 [2 per cell]
Y 0.000 0.000 0.265 [2 per cell]
In 0.500 0.000 0.633 [2 per cell]
Cu 0.500 0.000 0.431 [2 per cell]
Cu 0.500 0.000 0.833 [2 per cell]

Most intense lines, 10 to 90 degrees two-theta, most intense first:
2theta	d/Å	I/Imax	(hkl)
33.09	2.707	1000	1 1 1
35.70	2.515	617	1 0 4
38.45	2.341	464	0 1 5
56.55	1.627	318	1 2 4
28.34	3.150	295	0 1 3
42.35	2.134	292	0 2 0
50.44	1.809	240	2 0 0
37.88	2.375	239	1 1 3
65.19	1.431	219	2 1 5
67.93	1.380	137	2 2 0
74.89	1.268	102	0 3 5
71.59	1.318	102	1 3 1

Simulated X-ray diffraction stick pattern
Compound: Cs2Os
Radiation: Cu Kα, 1.54184 Å
Structure: a structure optimized by DFT (GGA-PBE)
Intensities are scaled so that the largest is 1000.

Unit cell a=9.771 b=9.771 c=9.771 alpha=90.00 beta=90.00 gamma=90.00
Space group Fd-3m (No. 227, origin choice 2)
Symmetry-distinct sites (fractional):
Cs 0.000 0.000 0.000 [16 per cell]
Os 0.125 0.125 0.625 [8 per cell]

Most intense lines, 10 to 90 degrees two-theta, most intense first:
2theta	d/Å	I/Imax	(hkl)
30.34	2.946	1000	3 1 1
25.79	3.455	380	2 2 0
48.41	1.880	364	5 1 1
53.02	1.727	303	4 4 0
31.72	2.821	293	2 2 2
74.61	1.272	230	7 3 1
45.48	1.994	169	4 2 2
62.31	1.490	129	5 3 3
86.20	1.128	126	7 5 1
63.12	1.473	120	6 2 2
72.37	1.306	86	6 4 2
59.87	1.545	75	6 2 0

Simulated X-ray diffraction stick pattern
Compound: YAgGeTe2Se
Radiation: Cu Kα, 1.54184 Å
Structure: a structure optimized by DFT (GGA-PBE)
Intensities are scaled so that the largest is 1000.

Unit cell a=4.208 b=14.351 c=10.488 alpha=90.00 beta=90.00 gamma=90.00
Space group Cmcm (No. 63)
Symmetry-distinct sites (fractional):
Y 0.000 0.000 0.000 [4 per cell]
Ag 0.000 0.482 0.250 [4 per cell]
Ge 0.000 0.243 0.750 [4 per cell]
Te 0.000 0.345 0.062 [8 per cell]
Se 0.000 0.096 0.250 [4 per cell]

Most intense lines, 10 to 90 degrees two-theta, most intense first:
2theta	d/Å	I/Imax	(hkl)
33.10	2.706	1000	1 3 2
29.53	3.025	373	1 3 1
28.40	3.143	302	0 2 3
42.99	2.104	276	2 0 0
52.34	1.748	253	0 0 6
33.92	2.643	248	1 1 3
34.20	2.622	190	0 0 4
28.25	3.160	185	1 3 0
41.50	2.176	157	0 6 2
41.81	2.161	154	1 5 2
46.26	1.962	118	1 5 3
61.28	1.513	98	2 6 2

Simulated X-ray diffraction stick pattern
Compound: Gd2DyTmZn2
Radiation: Cu Kα, 1.54184 Å
Structure: a structure optimized by DFT (GGA-PBE)
Intensities are scaled so that the largest is 1000.

Unit cell a=5.241 b=3.591 c=16.358 alpha=90.00 beta=90.00 gamma=90.00
Space group Amm2 (No. 38)
Symmetry-distinct sites (fractional):
Gd 0.000 0.000 0.000 [2 per cell]
Gd 0.500 0.000 0.161 [2 per cell]
Dy 0.000 0.000 0.303 [2 per cell]
Tm 0.500 0.000 0.860 [2 per cell]
Zn 0.000 0.000 0.653 [2 per cell]
Zn 0.500 0.000 0.507 [2 per cell]

Most intense lines, 10 to 90 degrees two-theta, most intense first:
2theta	d/Å	I/Imax	(hkl)
34.45	2.603	1000	1 1 3
34.22	2.620	290	2 0 0
27.67	3.224	208	1 0 4
32.85	2.726	189	0 0 6
61.42	1.510	186	3 1 3
58.86	1.569	137	2 1 7
48.16	1.889	129	2 0 6
62.73	1.481	100	2 2 0
50.85	1.796	94	0 2 0
46.36	1.959	85	0 1 7
25.39	3.508	82	0 1 1
37.17	2.419	81	1 0 6

Simulated X-ray diffraction stick pattern
Compound: Tb3Al5Ni
Radiation: Cu Kα, 1.54184 Å
Structure: a structure optimized by DFT (GGA-PBE)
Intensities are scaled so that the largest is 1000.

Unit cell a=6.9806 b=6.9806 c=4.3194 alpha=90.00 beta=90.00 gamma=120.00
Space group P-62m (No. 189)
Symmetry-distinct sites (fractional):
Tb 0.0000 0.5971 0.0000 [3 per cell]
Al 0.0000 0.2297 0.5000 [3 per cell]
Al 0.3333 0.6667 0.5000 [2 per cell]
Ni 0.0000 0.0000 0.0000 [1 per cell]

Most intense lines, 10 to 90 degrees two-theta, most intense first:
2theta	d/Å	I/Imax	(hkl)
32.99	2.715	1000	1 1 1
36.27	2.477	666	2 0 1
25.52	3.490	502	1 1 0
20.56	4.319	499	0 0 1
59.10	1.563	326	3 1 1
29.55	3.023	302	2 0 0
39.44	2.285	262	2 1 0
41.83	2.160	229	0 0 2
54.75	1.677	185	3 1 0
49.64	1.837	170	1 1 2
71.19	1.324	170	3 1 2
71.44	1.320	167	3 2 1

Simulated X-ray diffraction stick pattern
Compound: Ba3SrHg2
Radiation: Cu Kα, 1.54184 Å
Structure: a structure optimized by DFT (GGA-PBE)
Intensities are scaled so that the largest is 1000.

Unit cell a=4.197 b=4.197 c=14.977 alpha=90.00 beta=90.00 gamma=90.00
Space group P4mm (No. 99)
Symmetry-distinct sites (fractional):
Ba 0.000 0.000 0.000 [1 per cell]
Ba 0.000 0.000 0.267 [1 per cell]
Ba 0.500 0.500 0.759 [1 per cell]
Sr 0.500 0.500 0.500 [1 per cell]
Hg 0.000 0.000 0.622 [1 per cell]
Hg 0.500 0.500 0.131 [1 per cell]

Most intense lines, 10 to 90 degrees two-theta, most intense first:
2theta	d/Å	I/Imax	(hkl)
27.77	3.213	1000	1 0 3
30.11	2.968	523	1 1 0
11.82	7.488	362	0 0 2
52.05	1.757	354	2 1 3
36.87	2.438	338	1 0 5
43.11	2.099	197	2 0 0
57.98	1.591	183	2 1 5
58.27	1.583	145	1 1 8
32.45	2.759	143	1 1 2
47.60	1.910	102	1 1 6
66.99	1.397	96	2 0 8
88.77	1.102	92	2 1 11

Simulated X-ray diffraction stick pattern
Compound: TbTmSiCl2
Radiation: Cu Kα, 1.54184 Å
Structure: a structure optimized by DFT (GGA-PBE)
Intensities are scaled so that the largest is 1000.

Unit cell a=4.0236 b=4.0236 c=9.6276 alpha=90.00 beta=90.00 gamma=120.00
Space group P3m1 (No. 156)
Symmetry-distinct sites (fractional):
Tb 0.0000 0.0000 0.0000 [1 per cell]
Tm 0.3333 0.6667 0.6653 [1 per cell]
Si 0.6667 0.3333 0.8298 [1 per cell]
Cl 0.0000 0.0000 0.5052 [1 per cell]
Cl 0.3333 0.6667 0.1658 [1 per cell]

Most intense lines, 10 to 90 degrees two-theta, most intense first:
2theta	d/Å	I/Imax	(hkl)
31.70	2.823	1000	0 1 2
27.22	3.277	514	1 0 1
45.82	1.980	360	1 0 4
45.06	2.012	321	1 1 0
25.56	3.485	241	1 0 0
56.14	1.638	191	2 0 2
18.43	4.814	186	0 0 2
74.73	1.270	163	1 2 2
38.12	2.361	142	1 0 3
75.84	1.254	135	1 1 6
83.71	1.155	125	2 1 4
53.78	1.705	118	1 1 3

Simulated X-ray diffraction stick pattern
Compound: Hf3NiAs
Radiation: Cu Kα, 1.54184 Å
Structure: a structure optimized by DFT (GGA-PBE)
Intensities are scaled so that the largest is 1000.

Unit cell a=3.533 b=11.560 c=9.586 alpha=90.00 beta=90.00 gamma=90.00
Space group Cmcm (No. 63)
Symmetry-distinct sites (fractional):
Hf 0.000 0.083 0.250 [4 per cell]
Hf 0.000 0.344 0.084 [8 per cell]
Ni 0.000 0.253 0.750 [4 per cell]
As 0.000 0.000 0.000 [4 per cell]

Most intense lines, 10 to 90 degrees two-theta, most intense first:
2theta	d/Å	I/Imax	(hkl)
32.00	2.796	1000	0 2 3
34.44	2.604	659	1 3 0
32.38	2.765	560	0 4 1
35.73	2.513	498	1 3 1
38.79	2.322	379	1 1 3
28.00	3.187	348	1 1 1
46.46	1.955	341	1 1 4
62.16	1.493	304	2 2 3
39.38	2.288	288	1 3 2
51.76	1.766	276	2 0 0
51.10	1.788	267	0 6 2
55.53	1.655	261	1 5 3

Simulated X-ray diffraction stick pattern
Compound: KNaPtC2
Radiation: Cu Kα, 1.54184 Å
Structure: a structure optimized by DFT (GGA-PBE)
Intensities are scaled so that the largest is 1000.

Unit cell a=4.9267 b=4.9267 c=5.2286 alpha=90.00 beta=90.00 gamma=120.00
Space group P3m1 (No. 156)
Symmetry-distinct sites (fractional):
K 0.0000 0.0000 0.0000 [1 per cell]
Na 0.3333 0.6667 0.5431 [1 per cell]
Pt 0.6667 0.3333 0.2794 [1 per cell]
C 0.6667 0.3333 0.6554 [1 per cell]
C 0.6667 0.3333 0.8994 [1 per cell]

Most intense lines, 10 to 90 degrees two-theta, most intense first:
2theta	d/Å	I/Imax	(hkl)
26.97	3.306	1000	1 0 1
20.82	4.267	887	1 0 0
40.47	2.229	760	0 1 2
36.47	2.463	494	1 1 0
16.96	5.229	372	0 0 1
68.35	1.372	267	1 2 2
57.10	1.613	252	0 1 3
45.95	1.975	247	0 2 1
60.04	1.541	226	2 1 1
65.63	1.423	205	3 0 0
55.60	1.653	191	2 0 2
83.80	1.154	151	1 3 1

Simulated X-ray diffraction stick pattern
Compound: Tm3S2NO
Radiation: Cu Kα, 1.54184 Å
Structure: a structure optimized by DFT (GGA-PBE)
Intensities are scaled so that the largest is 1000.

Unit cell a=14.929 b=3.749 c=9.360 alpha=90.00 beta=99.62 gamma=90.00
Space group C2/m (No. 12)
Symmetry-distinct sites (fractional):
Tm 0.053 0.000 0.262 [4 per cell]
Tm 0.110 0.500 0.942 [4 per cell]
Tm 0.197 0.000 0.672 [4 per cell]
S 0.136 0.500 0.469 [4 per cell]
S 0.216 0.000 0.151 [4 per cell]
N 0.094 0.000 0.804 [4 per cell]
O 0.041 0.500 0.138 [4 per cell]

Most intense lines, 10 to 90 degrees two-theta, most intense first:
2theta	d/Å	I/Imax	(hkl)
31.97	2.799	1000	1 1 2
28.38	3.145	420	4 0 -2
30.58	2.923	375	3 1 -1
27.56	3.237	370	4 0 1
38.88	2.317	344	5 1 0
47.32	1.921	302	3 1 -4
48.56	1.875	190	0 2 0
25.98	3.429	180	1 1 -1
29.54	3.024	158	2 0 -3
52.50	1.743	157	5 1 3
57.21	1.610	152	4 2 -2
43.00	2.103	146	2 0 4

Simulated X-ray diffraction stick pattern
Compound: LaPrNdGdZn12Ge6
Radiation: Cu Kα, 1.54184 Å
Structure: a structure optimized by DFT (GGA-PBE)
Intensities are scaled so that the largest is 1000.

Unit cell a=7.668 b=4.101 c=13.283 alpha=90.00 beta=90.01 gamma=90.00
Space group Pm (No. 6)
Symmetry-distinct sites (fractional):
La 0.000 0.000 0.000 [1 per cell]
Pr 0.500 0.000 0.501 [1 per cell]
Nd 0.000 0.000 0.334 [1 per cell]
Gd 0.501 0.000 0.833 [1 per cell]
Zn 0.145 0.500 0.523 [1 per cell]
Zn 0.145 0.500 0.811 [1 per cell]
Zn 0.190 0.000 0.669 [1 per cell]
Zn 0.212 0.500 0.167 [1 per cell]
Zn 0.405 0.000 0.261 [1 per cell]
Zn 0.409 0.000 0.071 [1 per cell]
Zn 0.644 0.500 0.022 [1 per cell]
Zn 0.645 0.500 0.312 [1 per cell]
Zn 0.689 0.000 0.168 [1 per cell]
Zn 0.710 0.500 0.667 [1 per cell]
Zn 0.902 0.000 0.761 [1 per cell]
Zn 0.907 0.000 0.572 [1 per cell]
Ge 0.308 0.500 0.358 [1 per cell]
Ge 0.313 0.500 0.974 [1 per cell]
Ge 0.383 0.500 0.670 [1 per cell]
Ge 0.805 0.500 0.857 [1 per cell]
Ge 0.810 0.500 0.476 [1 per cell]
Ge 0.881 0.500 0.168 [1 per cell]

Most intense lines, 10 to 90 degrees two-theta, most intense first:
2theta	d/Å	I/Imax	(hkl)
31.95	2.801	1000	2 1 0
42.21	2.141	523	3 1 1
40.76	2.214	328	3 0 3
44.17	2.050	242	0 2 0
35.77	2.510	218	2 0 -4
68.69	1.366	212	4 1 6
61.66	1.504	189	3 2 3
34.76	2.581	142	2 1 2
52.71	1.737	140	4 1 0
49.49	1.842	131	1 0 -7
58.09	1.588	104	2 2 -4
68.47	1.370	96	1 2 -7

Simulated X-ray diffraction stick pattern
Compound: MgW
Radiation: Cu Kα, 1.54184 Å
Structure: a structure optimized by DFT (GGA-PBE)
Intensities are scaled so that the largest is 1000.

Unit cell a=4.701 b=5.770 c=5.146 alpha=90.00 beta=90.00 gamma=90.00
Space group Pmm2 (No. 25)
Symmetry-distinct sites (fractional):
Mg 0.000 0.000 0.000 [1 per cell]
Mg 0.000 0.261 0.466 [2 per cell]
Mg 0.500 0.000 0.659 [1 per cell]
W 0.000 0.500 0.953 [1 per cell]
W 0.500 0.275 0.161 [2 per cell]
W 0.500 0.500 0.629 [1 per cell]

Most intense lines, 10 to 90 degrees two-theta, most intense first:
2theta	d/Å	I/Imax	(hkl)
40.67	2.219	1000	1 2 1
15.36	5.770	800	0 1 0
39.95	2.257	657	1 0 2
38.29	2.350	458	2 0 0
35.68	2.517	401	0 2 1
18.88	4.701	351	1 0 0
53.34	1.718	269	2 2 1
30.05	2.974	239	1 1 1
17.23	5.146	238	0 0 1
43.03	2.102	220	1 1 2
76.23	1.249	196	2 2 3
70.84	1.330	195	3 2 1

Simulated X-ray diffraction stick pattern
Compound: La2Si3Hg2
Radiation: Cu Kα, 1.54184 Å
Structure: a structure optimized by DFT (GGA-PBE)
Intensities are scaled so that the largest is 1000.

Unit cell a=4.6350 b=4.6350 c=27.3146 alpha=90.00 beta=90.00 gamma=120.00
Space group R3m (No. 160, hexagonal axes)
Symmetry-distinct sites (fractional):
La 0.0000 0.0000 0.0000 [3 per cell]
La 0.0000 0.0000 0.4982 [3 per cell]
Si 0.0000 0.0000 0.3900 [3 per cell]
Si 0.0000 0.0000 0.6104 [3 per cell]
Si 0.0000 0.0000 0.8747 [3 per cell]
Hg 0.0000 0.0000 0.2482 [3 per cell]
Hg 0.0000 0.0000 0.7496 [3 per cell]

Most intense lines, 10 to 90 degrees two-theta, most intense first:
2theta	d/Å	I/Imax	(hkl)
25.74	3.460	1000	1 0 4
34.49	2.601	759	0 1 8
38.86	2.318	571	1 1 0
56.68	1.624	257	1 1 12
52.92	1.730	225	2 0 8
67.56	1.386	217	1 2 8
47.20	1.926	202	0 2 4
62.73	1.481	174	2 1 4
58.78	1.571	148	1 0 16
39.59	2.276	121	0 0 12
85.66	1.134	107	2 1 16
70.36	1.338	101	3 0 0

Simulated X-ray diffraction stick pattern
Compound: PmTmTh
Radiation: Cu Kα, 1.54184 Å
Structure: a structure optimized by DFT (GGA-PBE)
Intensities are scaled so that the largest is 1000.

Unit cell a=7.653 b=7.653 c=7.653 alpha=90.00 beta=90.00 gamma=90.00
Space group F-43m (No. 216)
Symmetry-distinct sites (fractional):
Pm 0.000 0.000 0.000 [4 per cell]
Tm 0.250 0.250 0.250 [4 per cell]
Th 0.000 0.000 0.500 [4 per cell]

Most intense lines, 10 to 90 degrees two-theta, most intense first:
2theta	d/Å	I/Imax	(hkl)
33.11	2.706	1000	2 2 0
59.14	1.562	387	4 2 2
20.10	4.419	267	1 1 1
47.52	1.913	185	4 0 0
23.24	3.827	171	2 0 0
79.15	1.210	169	6 2 0
39.03	2.308	151	3 1 1
69.47	1.353	120	4 4 0
53.55	1.711	74	4 2 0
52.09	1.756	67	3 3 1
40.84	2.209	54	2 2 2
63.12	1.473	50	5 1 1